# 1
Computed powder XRD pattern of LiH7Pd2Rh2 for Cu Ka, from a cell relaxed with PBE.
Peak positions follow from Bragg's law for the DFT cell and can differ from measured ones.

Cell and atoms:
```
12
Lattice="-1.5885 7.5526 2.1401 1.5885 -7.5526 2.1401 1.5885 7.5526 -2.1401" Properties=species:S:1:pos:R:3 pbc="T T T"
Li 0.0000 0.0000 0.0000
H 1.5885 1.5699 0.3877
H 1.5885 -3.2679 1.9347
H 1.5885 6.5670 -0.3093
H 0.0000 0.9856 1.8308
H 1.5885 3.2679 1.9347
H 0.0000 7.5526 0.8668
H 0.0000 5.9827 2.5278
Pd 1.5885 3.3304 -0.0149
Pd 0.0000 4.2222 2.1252
Rh 1.5885 -1.4973 2.1106
Rh 1.5885 1.4973 2.1106
```

Most intense lines, 2θ from 10° to 90°, by angle:
d [Å], 2θ/deg, intensity
7.553, 11.72, 83
4.118, 21.58, 43
3.109, 28.71, 55
2.687, 33.35, 29
2.518, 35.66, 26
2.468, 36.40, 100
2.417, 37.20, 92
2.140, 42.23, 42
2.114, 42.78, 86
1.336, 70.50, 28

# 2
Computed powder XRD pattern of LiH5Pd2Ru for Cu Ka, from a cell relaxed with PBE.
Peak positions follow from Bragg's law for the DFT cell and can differ from measured ones.

Cell and atoms:
```
9
Lattice="-1.7272 2.2743 4.9467 1.7272 -2.2743 4.9467 1.7272 2.2743 -4.9467" Properties=species:S:1:pos:R:3 pbc="T T T"
Li 0.0000 0.0000 0.0000
H 1.7272 1.1398 -1.3640
H 1.7272 1.1398 1.3640
H 0.0000 2.2743 0.0000
H 0.0000 1.1344 3.5827
H 0.0000 1.1344 6.3107
Pd 1.7272 0.0000 2.7175
Pd 0.0000 2.2743 2.2292
Ru 0.0000 0.0000 4.9467
```

Most intense lines, 2θ from 10° to 90°, by angle:
d [Å], 2θ/deg, intensity
4.947, 17.93, 16
4.133, 21.50, 39
2.473, 36.32, 22
2.404, 37.40, 100
2.385, 37.71, 18
2.274, 39.63, 22
1.814, 50.29, 14
1.674, 54.84, 14
1.415, 66.02, 18
1.337, 70.44, 15

# 3
Computed powder XRD pattern of SrLiHPd2 for Cu Ka, from a cell relaxed with PBE.
Peak positions follow from Bragg's law for the DFT cell and can differ from measured ones.

Cell and atoms:
```
5
Lattice="4.2797 0.0000 0.0000 0.0000 4.2797 0.0000 0.0000 0.0000 4.3251" Properties=species:S:1:pos:R:3 pbc="T T T"
Sr 0.0000 0.0000 0.0000
Li 2.1398 2.1398 0.0000
H 2.1398 2.1398 2.1625
Pd 0.0000 2.1398 2.1625
Pd 2.1398 0.0000 2.1625
```

Most intense lines, 2θ from 10° to 90°, by angle:
d [Å], 2θ/deg, intensity
4.325, 20.54, 18
4.280, 20.76, 14
3.042, 29.36, 13
3.026, 29.52, 14
2.480, 36.23, 100
2.163, 41.77, 17
2.140, 42.23, 33
1.521, 60.91, 22
1.302, 72.64, 13
1.292, 73.29, 25

# 4
Computed powder XRD pattern of SrLiH4Pd2 for Cu Ka, from a cell relaxed with PBE.
Peak positions follow from Bragg's law for the DFT cell and can differ from measured ones.

Cell and atoms:
```
8
Lattice="3.6623 0.0000 0.0000 0.0000 3.6623 0.0000 0.0000 0.0000 6.8647" Properties=species:S:1:pos:R:3 pbc="T T T"
Sr 0.0000 0.0000 0.0000
Li 0.0000 0.0000 3.4324
H 0.0000 1.8311 1.9538
H 0.0000 1.8311 4.9109
H 1.8311 0.0000 1.9538
H 1.8311 0.0000 4.9109
Pd 1.8311 1.8311 1.9661
Pd 1.8311 1.8311 4.8986
```

Most intense lines, 2θ from 10° to 90°, by angle:
d [Å], 2θ/deg, intensity
3.662, 24.30, 26
3.231, 27.61, 42
2.590, 34.64, 61
2.504, 35.86, 100
2.288, 39.38, 12
1.831, 49.80, 23
1.715, 53.42, 23
1.478, 62.87, 38
1.430, 65.24, 20
1.286, 73.69, 11